Starting from a GGA-PBE-relaxed structure, the powder XRD pattern of Ag6HgPt was computed for CuKα.

Peak list (12 most intense, 2θ = 15–90°, by angle)
2theta  d [Å]  Rel. int.  h k l
21.16  4.199  4.9  1 0 0
21.76  4.085  2.4  0 0 2
30.10  2.969  2.1  1 1 0
30.53  2.928  4.1  1 0 2
37.45  2.402  100.0  1 1 2
43.08  2.100  33.7  2 0 0
44.35  2.042  15.1  0 0 4
62.57  1.485  10.8  2 2 0
63.55  1.464  20.1  2 0 4
75.25  1.263  24.9  3 1 2
77.06  1.238  11.2  1 1 6
79.88  1.201  10.5  2 2 4

Structure:
Unit cell a=4.199 b=4.199 c=8.169 alpha=90.00 beta=90.00 gamma=90.00
Space group P4/mmm (No. 123)
One atom of each set of equivalent atoms:
Ag 0.000 0.000 0.000 x1
Ag 0.000 0.000 0.500 x1
Ag 0.000 0.500 0.241 x4
Hg 0.500 0.500 0.500 x1
Pt 0.500 0.500 0.000 x1



Starting from a GGA-PBE-relaxed structure, the powder XRD pattern of PAuCl4 was computed for CuKα.

Peak list (12 most intense, 2θ = 15–90°, by angle)
2theta  d [Å]  Rel. int.  h k l
16.35  5.422  94.4  1 2 0
23.20  3.834  20.0  0 4 0
25.98  3.429  100.0  2 2 0
27.30  3.267  24.7  0 0 2
29.73  3.005  56.5  0 2 2
30.63  2.919  21.7  1 0 2
31.12  2.874  33.1  1 2 -2
32.83  2.728  16.9  1 2 2
33.05  2.711  23.3  2 4 0
37.08  2.425  18.7  1 6 0
39.43  2.285  22.9  3 3 0
44.67  2.028  15.3  2 4 2

Structure:
Unit cell a=7.693 b=15.337 c=6.556 alpha=90.00 beta=94.77 gamma=90.00
Space group P2_1/c (No. 14)
One atom of each set of equivalent atoms:
P 0.246 0.132 0.497 x4
Au 0.039 0.235 0.490 x4
Cl 0.172 0.659 0.517 x4
Cl 0.192 0.027 0.318 x4
Cl 0.311 0.078 0.774 x4
Cl 0.476 0.174 0.409 x4



Starting from a GGA-PBE-relaxed structure, the powder XRD pattern of CuPHO4 was computed for CuKα.

Peak list (12 most intense, 2θ = 15–90°, by angle)
2theta  d [Å]  Rel. int.  h k l
21.31  4.169  49.9  2 1 1
28.70  3.110  17.9  4 0 1
29.20  3.058  27.6  4 1 0
30.80  2.903  100.0  3 2 1
31.40  2.849  44.6  1 2 2
36.44  2.466  12.6  6 -4 1
36.96  2.432  15.2  0 4 2
38.66  2.329  14.4  5 -3 2
44.91  2.019  21.6  1 5 2
55.35  1.660  16.2  2 7 1
61.63  1.505  14.8  4 4 3
66.68  1.403  12.9  6 -1 4

Structure:
Unit cell a=16.1829 b=16.1829 c=6.7572 alpha=90.00 beta=90.00 gamma=120.00
Space group R-3 (No. 148, hexagonal axes)
One atom of each set of equivalent atoms:
Cu 0.0111 0.7485 0.1765 x18
P 0.0667 0.5670 0.2498 x18
H 0.0263 0.1670 0.2991 x18
O 0.0085 0.4029 0.7204 x18
O 0.0260 0.4604 0.3109 x18
O 0.0444 0.8676 0.7230 x18
O 0.0851 0.8511 0.3639 x18



Starting from a GGA-PBE-relaxed structure, the powder XRD pattern of SmY15O24 was computed for CuKα.

Peak list (12 most intense, 2θ = 15–90°, by angle)
2theta  d [Å]  Rel. int.  h k l
20.29  4.376  13.0  3 1 -2
28.85  3.095  100.0  0 2 2
33.43  2.680  26.3  4 0 -4
35.52  2.527  5.9  3 1 -4
39.42  2.286  5.8  1 3 2
43.02  2.102  9.3  7 1 -4
47.99  1.896  35.7  0 0 4
48.07  1.893  7.2  8 0 -4
52.62  1.739  5.4  7 1 -6
56.98  1.616  29.6  4 2 -6
58.37  1.581  5.7  4 6 -3
59.76  1.547  5.0  0 4 4

Structure:
Unit cell a=15.141 b=10.725 c=10.717 alpha=90.00 beta=134.93 gamma=90.00
Space group C2 (No. 5)
One atom of each set of equivalent atoms:
Sm 0.000 0.000 0.000 x2
Y 0.000 0.435 0.500 x2
Y 0.000 0.501 0.000 x2
Y 0.000 0.936 0.500 x2
Y 0.033 0.219 0.783 x4
Y 0.033 0.717 0.283 x4
Y 0.249 0.217 0.748 x4
Y 0.249 0.468 0.531 x4
Y 0.249 0.719 0.749 x4
Y 0.250 0.469 0.033 x4
O 0.109 0.088 0.707 x4
O 0.109 0.348 0.011 x4
O 0.109 0.588 0.511 x4
O 0.111 0.845 0.212 x4
O 0.119 0.317 0.479 x4
O 0.120 0.620 0.980 x4
O 0.120 0.817 0.761 x4
O 0.122 0.121 0.266 x4
O 0.151 0.576 0.281 x4
O 0.151 0.859 0.522 x4
O 0.152 0.359 0.782 x4
O 0.154 0.080 0.023 x4



Starting from a GGA-PBE-relaxed structure, the powder XRD pattern of CsSbPb3 was computed for CuKα.

Peak list (12 most intense, 2θ = 15–90°, by angle)
2theta  d [Å]  Rel. int.  h k l
16.63  5.330  15.8  1 0 0
26.95  3.308  100.0  1 1 1
30.85  2.898  36.0  1 0 2
33.63  2.665  57.6  2 0 0
35.25  2.546  46.1  1 1 2
42.82  2.112  12.2  1 0 3
46.26  1.962  32.1  2 1 2
48.30  1.884  21.1  2 2 0
56.17  1.637  26.8  3 1 1
61.19  1.515  19.3  3 1 2
64.28  1.449  14.3  2 0 4
69.10  1.359  12.5  3 2 2

Structure:
Unit cell a=5.330 b=5.330 c=6.907 alpha=90.00 beta=90.00 gamma=90.00
Space group P4mm (No. 99)
One atom of each set of equivalent atoms:
Cs 0.000 0.000 0.000 x1
Sb 0.500 0.500 0.207 x1
Pb 0.000 0.500 0.487 x2
Pb 0.500 0.500 0.770 x1



Starting from a GGA-PBE-relaxed structure, the powder XRD pattern of Ce2TmGa3 was computed for CuKα.

Peak list (12 most intense, 2θ = 15–90°, by angle)
2theta  d [Å]  Rel. int.  h k l
24.70  3.605  28.4  0 1 2
35.13  2.554  100.0  1 0 4
35.29  2.543  99.2  1 1 0
43.55  2.078  6.4  2 0 2
50.65  1.802  35.1  0 2 4
62.93  1.477  17.8  0 1 8
63.23  1.471  35.7  2 1 4
63.34  1.468  17.8  3 0 0
74.25  1.277  10.9  2 0 8
74.63  1.272  11.0  2 2 0
84.97  1.141  15.4  1 2 8
85.25  1.138  15.6  1 3 4

Structure:
Unit cell a=5.0867 b=5.0867 c=12.5416 alpha=90.00 beta=90.00 gamma=120.00
Space group P-3m1 (No. 164)
One atom of each set of equivalent atoms:
Ce 0.0000 0.0000 0.0000 x1
Ce 0.0000 0.0000 0.5000 x1
Ce 0.3333 0.6667 0.1711 x2
Tm 0.3333 0.6667 0.6664 x2
Ga 0.0000 0.0000 0.2546 x2
Ga 0.3333 0.6667 0.4181 x2
Ga 0.3333 0.6667 0.9132 x2



Starting from a GGA-PBE-relaxed structure, the powder XRD pattern of Ti2Al3Cu3 was computed for CuKα.

Peak list (12 most intense, 2θ = 15–90°, by angle)
2theta  d [Å]  Rel. int.  h k l
22.94  3.877  5.2  1 0 0
40.44  2.231  100.0  1 1 2
45.86  1.979  17.1  0 2 0
46.87  1.939  15.9  2 0 0
48.37  1.882  14.4  0 0 4
67.66  1.385  9.8  2 2 0
68.86  1.364  9.5  0 2 4
69.64  1.350  8.9  2 0 4
81.14  1.185  11.3  1 3 2
82.62  1.168  10.9  3 1 2
84.85  1.143  10.1  1 1 6
87.45  1.115  9.4  2 2 4

Structure:
Unit cell a=3.877 b=3.958 c=7.527 alpha=90.00 beta=90.00 gamma=90.00
Space group Pmmm (No. 47)
One atom of each set of equivalent atoms:
Ti 0.000 0.000 0.249 x2
Al 0.000 0.500 0.000 x1
Al 0.000 0.500 0.500 x1
Al 0.500 0.000 0.000 x1
Cu 0.500 0.000 0.500 x1
Cu 0.500 0.500 0.251 x2



Starting from a GGA-PBE-relaxed structure, the powder XRD pattern of CuAsCl6 was computed for CuKα.

Peak list (12 most intense, 2θ = 15–90°, by angle)
2theta  d [Å]  Rel. int.  h k l
19.37  4.584  100.0  0 1 -1
19.49  4.554  97.8  1 0 0
19.79  4.486  94.5  -1 1 1
32.49  2.756  25.7  1 -2 1
32.74  2.735  81.1  2 -1 0
32.96  2.718  29.1  -1 2 1
39.31  2.292  22.8  0 2 -2
43.58  2.077  23.5  2 -1 1
43.69  2.072  22.4  1 1 1
43.83  2.066  22.9  1 1 -3
49.76  1.832  24.5  0 3 -1
50.45  1.809  46.0  -3 3 1

Structure:
Unit cell a=6.242 b=6.321 c=6.525 alpha=91.22 beta=117.55 gamma=119.58
Space group P-1 (No. 2)
One atom of each set of equivalent atoms:
Cu 0.000 0.000 0.000 x1
As 0.000 0.500 0.500 x1
Cl 0.124 0.740 0.254 x2
Cl 0.131 0.879 0.752 x2
Cl 0.490 0.620 0.747 x2



Starting from a GGA-PBE-relaxed structure, the powder XRD pattern of Sb3ClF12 was computed for CuKα.

Peak list (12 most intense, 2θ = 15–90°, by angle)
2theta  d [Å]  Rel. int.  h k l
15.55  5.700  38.9  0 1 -1
17.05  5.199  79.1  0 0 2
18.08  4.907  100.0  0 1 2
19.56  4.538  49.7  1 -1 0
20.30  4.375  47.8  1 0 2
21.83  4.071  48.5  1 -1 1
22.25  3.996  76.4  1 2 0
22.40  3.970  35.1  0 2 0
25.12  3.545  49.7  2 1 0
25.29  3.522  74.8  -1 1 2
28.44  3.138  33.0  2 0 -1
29.19  3.059  31.4  2 2 2

Structure:
Unit cell a=7.294 b=8.682 c=10.907 alpha=73.60 beta=78.70 gamma=70.14
Space group P1 (No. 1)
One atom of each set of equivalent atoms:
Sb 0.000 0.000 0.000 x1
Sb 0.089 0.060 0.427 x1
Sb 0.231 0.523 0.691 x1
Sb 0.492 0.275 0.134 x1
Sb 0.709 0.660 0.578 x1
Sb 0.878 0.531 0.116 x1
Cl 0.322 0.482 0.487 x1
Cl 0.848 0.039 0.824 x1
F 0.017 0.289 0.313 x1
F 0.067 0.964 0.168 x1
F 0.138 0.763 0.634 x1
F 0.150 0.557 0.860 x1
F 0.162 0.139 0.553 x1
F 0.263 0.922 0.930 x1
F 0.300 0.475 0.169 x1
F 0.314 0.190 0.089 x1
F 0.320 0.290 0.766 x1
F 0.466 0.150 0.307 x1
F 0.500 0.788 0.478 x1
F 0.501 0.552 0.702 x1
F 0.556 0.377 0.961 x1
F 0.645 0.797 0.694 x1
F 0.684 0.652 0.999 x1
F 0.696 0.340 0.183 x1
F 0.710 0.065 0.103 x1
F 0.715 0.631 0.252 x1
F 0.780 0.458 0.524 x1
F 0.822 0.095 0.507 x1
F 0.892 0.752 0.460 x1
F 0.944 0.522 0.690 x1
F 0.976 0.768 0.062 x1
F 0.980 0.233 0.970 x1



Starting from a GGA-PBE-relaxed structure, the powder XRD pattern of BaPb was computed for CuKα.

Peak list (12 most intense, 2θ = 15–90°, by angle)
2theta  d [Å]  Rel. int.  h k l
26.37  3.380  100.0  1 1 3
27.84  3.204  19.8  1 3 1
28.00  3.186  85.7  0 4 4
31.89  2.806  42.2  1 1 5
33.88  2.646  27.7  0 6 2
35.51  2.528  50.6  1 5 1
35.65  2.519  30.6  0 0 8
41.95  2.154  18.5  1 3 7
47.68  1.908  31.4  1 5 7
55.38  1.659  24.3  1 1 11
56.69  1.624  16.6  0 6 10
59.88  1.545  36.1  2 6 4

Structure:
Unit cell a=4.026 b=16.454 c=20.150 alpha=90.00 beta=90.00 gamma=90.00
Space group Fddd (No. 70, origin choice 2)
One atom of each set of equivalent atoms:
Ba 0.125 0.125 0.260 x16
Pb 0.125 0.030 0.625 x16



Starting from a GGA-PBE-relaxed structure, the powder XRD pattern of TbPr6Y3Er2 was computed for CuKα.

Peak list (12 most intense, 2θ = 15–90°, by angle)
2theta  d [Å]  Rel. int.  h k l
30.08  2.971  100.0  1 3 1
30.54  2.927  32.0  0 0 4
35.00  2.563  66.7  2 0 2
50.04  1.823  24.2  0 6 0
50.64  1.802  24.2  1 3 5
59.49  1.554  14.3  4 0 0
59.76  1.547  28.2  3 3 3
60.30  1.535  13.7  2 0 6
62.52  1.486  12.3  2 6 2
81.37  1.183  11.6  4 6 0
84.05  1.152  10.8  5 3 1
84.98  1.141  10.5  3 3 7

Structure:
Unit cell a=6.315 b=10.937 c=11.896 alpha=90.00 beta=100.17 gamma=90.00
Space group C2/m (No. 12)
One atom of each set of equivalent atoms:
Tb 0.000 0.000 0.000 x2
Pr 0.250 0.000 0.752 x4
Pr 0.250 0.167 0.249 x8
Y 0.000 0.167 0.500 x4
Y 0.000 0.500 0.500 x2
Er 0.000 0.333 0.000 x4